V3H4O8: computed XRD peak list (Cu Kα (weighted mean of Kα1 and Kα2)), based on the PBE+U geometry in the Materials Project.
Kinematic intensities with the Lorentz-polarization factor, no thermal factor.

Most intense lines, 2θ = 10–90°, low angle first:
2θ = 14.9°, I 826; 2θ = 20.0°, I 203; 2θ = 23.6°, I 667; 2θ = 25.2°, I 1000; 2θ = 29.7°, I 352; 2θ = 35.5°, I 313; 2θ = 48.3°, I 230; 2θ = 53.6°, I 281

Crystal structure
```
V3H4O8
1.0
8.9376 -1.8052 0.0000
8.9376 1.8052 0.0000
-0.6882 0.0000 5.9302
V H O
3 4 8
direct
0.0000 0.0000 0.0000 V
0.1940 0.1940 0.8452 V
0.8060 0.8060 0.1548 V
0.0753 0.0753 0.4120 H
0.2029 0.2029 0.4094 H
0.7971 0.7971 0.5906 H
0.9247 0.9247 0.5880 H
0.0318 0.0318 0.2939 O
0.1090 0.1090 0.9353 O
0.1710 0.1710 0.5338 O
0.2634 0.2634 0.1385 O
0.7366 0.7366 0.8615 O
0.8290 0.8290 0.4662 O
0.8910 0.8910 0.0647 O
0.9682 0.9682 0.7061 O
```